This entry pairs a crystal structure of DyAlAg2S4 with its calculated XRD peak list. Radiation: Cu Kα X-rays. Structure: a PBE-relaxed structure.
Kinematic intensities with the Lorentz-polarization factor, no thermal factor.

Peak list (10 most intense, 10 to 90 degrees two-theta, sorted by position)
two_theta  I (rel.)
14.93  34
24.92  73
27.03  85
28.41  23
30.13  71
33.76  49
37.09  100
45.75  34
45.88  29
51.13  22

Cell and atoms:
Cell: 7.146 7.936 7.977 Å, 119.81 116.51 90.04°
Sites, in units of the cell vectors:
Dy1 0.000 0.000 0.000
Dy2 0.000 0.487 0.000
Al1 0.039 0.524 0.562
Al2 0.523 0.524 0.563
Ag1 0.300 0.044 0.602
Ag2 0.535 0.032 0.074
Ag3 0.536 0.529 0.075
Ag4 0.754 0.019 0.551
S1 0.223 0.215 0.944
S2 0.230 0.274 0.460
S3 0.230 0.672 0.460
S4 0.235 0.719 0.952
S5 0.716 0.720 0.953
S6 0.720 0.215 0.945
S7 0.753 0.305 0.508
S8 0.753 0.690 0.508


This entry pairs a crystal structure of Sm7Th with its calculated XRD peak list. Radiation: Cu Kα X-rays. Structure: a PBE-relaxed structure.
Kinematic intensities with the Lorentz-polarization factor, no thermal factor.

Peak list (10 most intense, 10 to 90 degrees two-theta, sorted by position)
two_theta  I (rel.)
14.99  2
28.93  1
30.25  100
35.07  51
50.44  36
59.95  43
62.91  13
74.10  6
82.08  18
84.70  17

Cell and atoms:
Cell: 7.238 7.238 7.238 Å, 60.00 60.00 60.00°
Sites, in units of the cell vectors:
Sm1 0.000 0.000 0.000
Sm2 0.000 0.000 0.500
Sm3 0.000 0.500 0.000
Sm4 0.000 0.500 0.500
Sm5 0.500 0.000 0.000
Sm6 0.500 0.000 0.500
Sm7 0.500 0.500 0.000
Th1 0.500 0.500 0.500


This entry pairs a crystal structure of Ta2Ga2FeNi7 with its calculated XRD peak list. Radiation: Cu Kα X-rays. Structure: a PBE-relaxed structure.
Kinematic intensities with the Lorentz-polarization factor, no thermal factor.

Peak list (10 most intense, 10 to 90 degrees two-theta, sorted by position)
two_theta  I (rel.)
27.16  46
31.07  39
34.57  44
38.54  50
39.05  40
42.91  57
43.61  100
46.07  91
55.64  70
73.24  42

Cell and atoms:
Cell: 14.858 14.858 14.858 Å, 167.23 167.23 18.09°
Sites, in units of the cell vectors:
Ta1 0.132 0.132 0.000
Ta2 0.868 0.868 0.000
Ga1 0.310 0.310 0.000
Ga2 0.690 0.690 0.000
Fe1 0.500 0.500 0.000
Ni1 0.000 0.000 0.000
Ni2 0.065 0.565 0.500
Ni3 0.226 0.226 0.000
Ni4 0.435 0.935 0.500
Ni5 0.565 0.065 0.500
Ni6 0.774 0.774 0.000
Ni7 0.935 0.435 0.500